Record 1
Ca2La5Mn7NiO24: computed powder X-ray diffraction pattern (Cu Kα X-rays), based on a DFT-relaxed cell (GGA+U, the Materials Project).
Neutral-atom scattering factors, no anomalous dispersion.

Principal peaks in the range 2θ from 10° to 80°, by intensity:
2θ (°), I (rel.)
32.8, 1000
32.7, 486
58.4, 259
21.5, 195
46.9, 169
47.3, 168
46.8, 164
14.1, 163
58.7, 152
58.3, 126

Crystal structure
Lattice parameters (Å, degrees): 5.478 7.692 10.982 89.90 89.88 90.00
Fractional coordinates of all 39 atoms:
Ca 0.000 0.000 0.000
Ca 0.484 0.998 0.243
La 0.490 0.497 0.226
La 0.491 0.002 0.736
La 0.491 0.494 0.705
La 0.981 0.496 0.967
La 0.992 0.003 0.487
Mn 0.485 0.244 0.979
Mn 0.487 0.754 0.980
Mn 0.492 0.742 0.474
Mn 0.493 0.253 0.476
Mn 0.988 0.747 0.726
Mn 0.989 0.247 0.231
Mn 0.989 0.749 0.232
Ni 0.989 0.251 0.726
O 0.046 0.498 0.215
O 0.050 0.506 0.743
O 0.211 0.789 0.869
O 0.217 0.212 0.873
O 0.218 0.207 0.358
O 0.219 0.790 0.359
O 0.266 0.780 0.616
O 0.267 0.786 0.116
O 0.268 0.210 0.119
O 0.273 0.216 0.610
O 0.426 0.497 0.471
O 0.426 0.498 0.988
O 0.544 0.997 0.475
O 0.568 0.999 0.969
O 0.698 0.283 0.843
O 0.702 0.730 0.333
O 0.704 0.264 0.331
O 0.704 0.713 0.839
O 0.741 0.267 0.590
O 0.747 0.723 0.595
O 0.763 0.715 0.089
O 0.765 0.282 0.090
O 0.919 0.998 0.222
O 0.934 0.992 0.717


Record 2
Ca4La4Mn7NiO24: computed powder X-ray diffraction pattern (Cu Kα X-rays), based on a DFT-relaxed cell (GGA+U, the Materials Project).
Neutral-atom scattering factors, no anomalous dispersion.

Principal peaks in the range 2θ from 10° to 80°, by intensity:
2θ (°), I (rel.)
32.8, 1000
58.4, 264
46.9, 226
58.5, 141
47.1, 111
40.4, 108
78.1, 91
68.6, 85
68.7, 83
19.9, 75

Crystal structure
Lattice parameters (Å, degrees): 5.477 9.455 9.466 70.72 89.93 89.96
Fractional coordinates of all 40 atoms:
Ca 0.000 0.000 0.000
Ca 0.001 0.499 0.502
Ca 0.500 0.239 0.764
Ca 0.565 0.498 0.997
La 0.052 0.242 0.254
La 0.054 0.740 0.757
La 0.510 0.742 0.259
La 0.554 0.995 0.502
Mn 0.032 0.122 0.634
Mn 0.033 0.366 0.878
Mn 0.033 0.621 0.130
Mn 0.531 0.610 0.631
Mn 0.532 0.371 0.382
Mn 0.532 0.871 0.882
Mn 0.533 0.123 0.126
Ni 0.033 0.867 0.378
O 0.017 0.459 0.038
O 0.026 0.965 0.542
O 0.044 0.779 0.211
O 0.054 0.286 0.715
O 0.247 0.209 0.999
O 0.253 0.998 0.788
O 0.256 0.502 0.291
O 0.266 0.705 0.505
O 0.304 0.213 0.493
O 0.308 0.500 0.793
O 0.311 0.708 0.999
O 0.313 0.007 0.280
O 0.523 0.284 0.216
O 0.526 0.775 0.721
O 0.546 0.960 0.041
O 0.552 0.452 0.548
O 0.751 0.732 0.482
O 0.753 0.027 0.759
O 0.756 0.239 0.968
O 0.760 0.525 0.265
O 0.794 0.028 0.259
O 0.803 0.234 0.472
O 0.806 0.736 0.975
O 0.811 0.524 0.765


Record 3
Ca2LaMn2O7: computed powder X-ray diffraction pattern (Cu Kα X-rays), based on a DFT-relaxed cell (GGA+U, the Materials Project).
Neutral-atom scattering factors, no anomalous dispersion.

Principal peaks in the range 2θ from 10° to 80°, by intensity:
2θ (°), I (rel.)
32.6, 1000
32.5, 681
46.6, 457
58.1, 374
26.7, 253
43.2, 241
68.3, 209
58.3, 190
46.9, 186
77.5, 180

Crystal structure
Lattice parameters (Å, degrees): 10.063 10.063 5.509 90.00 90.00 148.23
Fractional coordinates of all 24 atoms:
Ca 0.065 0.935 0.750
Ca 0.435 0.565 0.750
Ca 0.565 0.435 0.250
Ca 0.935 0.065 0.250
La 0.250 0.750 0.750
La 0.750 0.250 0.250
Mn 0.147 0.853 0.250
Mn 0.352 0.648 0.250
Mn 0.648 0.352 0.750
Mn 0.853 0.147 0.750
O 0.050 0.950 0.250
O 0.105 0.413 0.008
O 0.105 0.413 0.492
O 0.248 0.752 0.250
O 0.413 0.105 0.508
O 0.413 0.105 0.992
O 0.449 0.551 0.250
O 0.551 0.449 0.750
O 0.587 0.895 0.008
O 0.587 0.895 0.492
O 0.752 0.248 0.750
O 0.895 0.587 0.508
O 0.895 0.587 0.992
O 0.950 0.050 0.750


Record 4
Ca3LaMn4O12: computed powder X-ray diffraction pattern (Cu Kα X-rays), based on a DFT-relaxed cell (GGA+U, the Materials Project).
Neutral-atom scattering factors, no anomalous dispersion.

Principal peaks in the range 2θ from 10° to 80°, by intensity:
2θ (°), I (rel.)
33.0, 1000
59.0, 271
32.8, 199
47.5, 150
47.2, 147
47.3, 143
20.0, 139
69.3, 138
58.7, 131
25.9, 109

Crystal structure
Lattice parameters (Å, degrees): 5.420 7.654 5.456 90.00 90.12 90.00
Fractional coordinates of all 20 atoms:
Ca 0.000 0.000 0.000
Ca 0.018 0.500 0.075
Ca 0.500 0.500 0.581
La 0.513 0.000 0.510
Mn 0.009 0.255 0.538
Mn 0.009 0.745 0.538
Mn 0.509 0.254 0.039
Mn 0.509 0.746 0.039
O 0.071 0.000 0.556
O 0.225 0.291 0.823
O 0.225 0.709 0.823
O 0.299 0.288 0.328
O 0.299 0.712 0.328
O 0.433 0.000 0.045
O 0.589 0.500 0.022
O 0.726 0.215 0.757
O 0.726 0.785 0.757
O 0.793 0.207 0.255
O 0.793 0.793 0.255
O 0.929 0.500 0.513


Record 5
CaLa3Mn4O10: computed powder X-ray diffraction pattern (Cu Kα X-rays), based on a DFT-relaxed cell (GGA+U, the Materials Project).
Neutral-atom scattering factors, no anomalous dispersion.

Principal peaks in the range 2θ from 10° to 80°, by intensity:
2θ (°), I (rel.)
31.6, 1000
31.3, 984
31.0, 619
31.8, 612
45.0, 509
22.1, 395
45.1, 280
11.0, 264
55.1, 209
55.7, 195

Crystal structure
Lattice parameters (Å, degrees): 5.773 5.621 17.020 90.00 109.11 90.00
Fractional coordinates of all 36 atoms:
Ca 0.000 0.213 0.000
Ca 0.000 0.787 0.500
La 0.263 0.220 0.269
La 0.263 0.780 0.769
La 0.457 0.282 0.501
La 0.457 0.718 0.001
La 0.733 0.278 0.778
La 0.733 0.722 0.278
Mn 0.060 0.303 0.634
Mn 0.060 0.697 0.134
Mn 0.363 0.249 0.890
Mn 0.363 0.751 0.390
Mn 0.663 0.202 0.132
Mn 0.663 0.798 0.632
Mn 0.865 0.249 0.389
Mn 0.865 0.751 0.889
O 0.009 0.322 0.134
O 0.009 0.678 0.634
O 0.053 0.023 0.866
O 0.053 0.977 0.366
O 0.091 0.200 0.524
O 0.091 0.800 0.024
O 0.111 0.461 0.364
O 0.111 0.539 0.864
O 0.305 0.215 0.749
O 0.305 0.785 0.249
O 0.411 0.297 0.021
O 0.411 0.703 0.521
O 0.606 0.038 0.402
O 0.606 0.962 0.902
O 0.633 0.291 0.245
O 0.633 0.709 0.745
O 0.673 0.475 0.905
O 0.673 0.525 0.405
O 0.715 0.177 0.637
O 0.715 0.823 0.137


Record 6
Ca2LaMn2O7: computed powder X-ray diffraction pattern (Cu Kα X-rays), based on a DFT-relaxed cell (GGA+U, the Materials Project).
Neutral-atom scattering factors, no anomalous dispersion.

Principal peaks in the range 2θ from 10° to 80°, by intensity:
2θ (°), I (rel.)
32.6, 1000
46.7, 385
58.1, 338
68.3, 202
26.8, 149
43.2, 142
77.7, 106
39.9, 99
37.6, 68
63.1, 50

Crystal structure
Lattice parameters (Å, degrees): 10.088 10.088 10.088 157.78 157.78 31.63
Fractional coordinates of all 12 atoms:
Ca 0.185 0.185 0.000
Ca 0.815 0.815 0.000
La 0.000 0.000 0.000
Mn 0.398 0.398 0.000
Mn 0.602 0.602 0.000
O 0.096 0.596 0.500
O 0.300 0.300 0.000
O 0.404 0.904 0.500
O 0.500 0.500 0.000
O 0.596 0.096 0.500
O 0.700 0.700 0.000
O 0.904 0.404 0.500


Record 7
Ca2LaMn2O7: computed powder X-ray diffraction pattern (Cu Kα X-rays), based on a DFT-relaxed cell (GGA+U, the Materials Project).
Neutral-atom scattering factors, no anomalous dispersion.

Principal peaks in the range 2θ from 10° to 80°, by intensity:
2θ (°), I (rel.)
32.7, 1000
32.3, 775
32.8, 740
46.1, 357
43.2, 353
47.8, 319
58.0, 295
46.4, 295
57.7, 288
58.8, 272

Crystal structure
Lattice parameters (Å, degrees): 10.155 10.155 10.155 158.39 157.63 31.30
Fractional coordinates of all 12 atoms:
Ca 0.185 0.185 0.000
Ca 0.815 0.815 0.000
La 0.000 0.000 0.000
Mn 0.398 0.398 0.000
Mn 0.602 0.602 0.000
O 0.096 0.596 0.500
O 0.300 0.300 0.000
O 0.404 0.904 0.500
O 0.500 0.500 0.000
O 0.596 0.096 0.500
O 0.700 0.700 0.000
O 0.904 0.404 0.500


Record 8
Ca2LaMn3O9: computed powder X-ray diffraction pattern (Cu Kα X-rays), based on a DFT-relaxed cell (GGA+U, the Materials Project).
Neutral-atom scattering factors, no anomalous dispersion.

Principal peaks in the range 2θ from 10° to 80°, by intensity:
2θ (°), I (rel.)
32.8, 1000
58.6, 305
47.2, 278
33.0, 189
58.8, 181
68.8, 170
47.0, 147
20.7, 140
15.8, 140
40.5, 102

Crystal structure
Lattice parameters (Å, degrees): 16.365 7.730 5.436 90.00 90.00 90.00
Fractional coordinates of all 60 atoms:
Ca 0.014 0.250 0.011
Ca 0.178 0.250 0.495
Ca 0.322 0.750 0.995
Ca 0.486 0.750 0.511
Ca 0.514 0.250 0.489
Ca 0.678 0.250 0.005
Ca 0.822 0.750 0.505
Ca 0.986 0.750 0.989
La 0.159 0.750 0.504
La 0.341 0.250 0.004
La 0.659 0.750 0.996
La 0.841 0.250 0.496
Mn 0.000 0.000 0.500
Mn 0.000 0.500 0.500
Mn 0.165 0.001 0.001
Mn 0.165 0.499 0.001
Mn 0.335 0.501 0.501
Mn 0.335 0.999 0.501
Mn 0.500 0.000 0.000
Mn 0.500 0.500 0.000
Mn 0.665 0.001 0.499
Mn 0.665 0.499 0.499
Mn 0.835 0.501 0.999
Mn 0.835 0.999 0.999
O 0.006 0.750 0.418
O 0.071 0.544 0.785
O 0.071 0.956 0.785
O 0.096 0.039 0.292
O 0.096 0.461 0.292
O 0.164 0.250 0.927
O 0.172 0.750 0.062
O 0.240 0.533 0.723
O 0.240 0.967 0.723
O 0.260 0.033 0.223
O 0.260 0.467 0.223
O 0.328 0.250 0.562
O 0.336 0.750 0.427
O 0.404 0.539 0.792
O 0.404 0.961 0.792
O 0.429 0.044 0.285
O 0.429 0.456 0.285
O 0.494 0.250 0.918
O 0.506 0.750 0.082
O 0.571 0.544 0.715
O 0.571 0.956 0.715
O 0.596 0.039 0.208
O 0.596 0.461 0.208
O 0.664 0.250 0.573
O 0.672 0.750 0.438
O 0.740 0.533 0.777
O 0.740 0.967 0.777
O 0.760 0.033 0.277
O 0.760 0.467 0.277
O 0.828 0.250 0.938
O 0.836 0.750 0.073
O 0.904 0.539 0.708
O 0.904 0.961 0.708
O 0.929 0.044 0.215
O 0.929 0.456 0.215
O 0.994 0.250 0.582